This entry pairs a crystal structure of Li4V2SiGeO10 with its theoretical X-ray powder pattern. Radiation: Cu Kα. Structure: a structure optimized by DFT (PBE+U).

Top 8 peaks for 5 to 70 degrees two-theta, sorted by position:
2θ = 19.42°, I 75, (0 0 1); 2θ = 23.78°, I 35, (1 0 1); 2θ = 27.40°, I 100, (2 0 0); 2θ = 33.80°, I 88, (2 0 1); 2θ = 44.04°, I 23, (2 2 1); 2θ = 56.55°, I 26, (4 0 0); 2θ = 56.76°, I 25, (2 2 2); 2θ = 67.53°, I 21, (4 2 1)

Structural model:
a = 6.510 Å, b = 6.510 Å, c = 4.572 Å
α = 90.00°, β = 90.00°, γ = 90.00°
Fractional coordinates of all 18 atoms:
Li (0.245, 0.245, 0.000)
Li (0.245, 0.755, 0.000)
Li (0.755, 0.245, 0.000)
Li (0.755, 0.755, 0.000)
V (0.000, 0.500, 0.589)
V (0.500, 0.000, 0.411)
Si (0.000, 0.000, 0.500)
Ge (0.500, 0.500, 0.500)
O (0.000, 0.204, 0.714)
O (0.000, 0.500, 0.222)
O (0.000, 0.796, 0.714)
O (0.204, 0.000, 0.286)
O (0.285, 0.500, 0.736)
O (0.500, 0.000, 0.778)
O (0.500, 0.285, 0.264)
O (0.500, 0.715, 0.264)
O (0.715, 0.500, 0.736)
O (0.796, 0.000, 0.286)